Diffraction record for PrZn6O8. The X-ray powder pattern is simulated, not measured: it uses a GGA-PBE-relaxed structure and copper Kα.
No peak broadening, texture or thermal motion is included.

Atomic structure:
```
15
Lattice="0.0000 4.3740 4.3740 4.3740 0.0000 4.3740 4.3740 4.3740 0.0000" Properties=species:S:1:pos:R:3 pbc="T T T"
Pr 0.0000 0.0000 0.0000
Zn 2.1870 2.1870 0.0000
Zn 2.1870 0.0000 2.1870
Zn 4.3740 2.1870 2.1870
Zn 0.0000 2.1870 2.1870
Zn 2.1870 4.3740 2.1870
Zn 2.1870 2.1870 4.3740
O 2.1870 2.1870 2.1870
O 4.3740 4.3740 2.2811
O 4.3740 2.2811 4.3740
O 6.4668 4.3740 4.3740
O 2.2811 4.3740 4.3740
O 4.3740 6.4668 4.3740
O 4.3740 4.3740 6.4668
O 6.5609 6.5609 6.5609
```

Largest 10 diffraction maxima, low angle first, 10 to 80 degrees two-theta:
2θ = 17.6°, intensity 44
2θ = 34.0°, intensity 29
2θ = 35.5°, intensity 81
2θ = 41.3°, intensity 100
2θ = 45.2°, intensity 15
2θ = 54.5°, intensity 9
2θ = 59.8°, intensity 61
2θ = 62.8°, intensity 9
2θ = 71.5°, intensity 34
2θ = 75.3°, intensity 19